Computed PXRD pattern of Ba2TiFeI for λ = 1.5418 Å (Cu Kα), from a structure optimized by DFT (PBE).

Principal peaks in the range 2θ from 5° to 70°, by angle:
2theta	intensity
14.60	31
18.50	10
27.90	100
29.44	75
37.51	19
42.12	28
48.38	37
51.28	36
57.66	22
61.09	9
61.94	11
69.25	12

Atomic structure:
Cell: 6.0677 6.0677 4.7960 Å, 90.00 90.00 90.00°
Space group P4/mmm (No. 123)
Unique sites:
Ba  0.0000  0.5000  0.0000 x2
Ti  0.0000  0.0000  0.5000 x1
Fe  0.5000  0.5000  0.0000 x1
I  0.5000  0.5000  0.5000 x1